This entry pairs a crystal structure of Cs4Ce6I19 with its simulated X-ray powder pattern. Radiation: λ = 1.5418 Å (Cu Kα). Structure: a cell relaxed with PBE.
Neutral-atom scattering factors, no anomalous dispersion.

Largest 10 diffraction maxima, by angle, 2θ from 5° to 70°:
2θ/deg  d [Å]  Rel. int.  index
8.71  10.147  16.4  1 1 0
19.56  4.538  23.8  3 1 0
23.19  3.835  28.1  3 1 2
26.35  3.382  100.0  3 3 0
30.52  2.929  14.0  4 2 2
31.80  2.814  38.6  4 3 1
37.61  2.392  37.4  6 0 0
44.65  2.029  12.7  5 4 3
46.50  1.953  22.2  6 3 3
50.05  1.823  14.7  6 1 5

Structure:
```
data_Cs4Ce6I19
_cell_length_a 14.3507
_cell_length_b 14.3507
_cell_length_c 14.3507
_cell_angle_alpha 90.00
_cell_angle_beta 90.00
_cell_angle_gamma 90.00
_symmetry_space_group_name_H-M 'I 2 3'
_symmetry_Int_Tables_number 197
_symmetry_space_group_name_Hall 'I 2 2 3'
loop_
_atom_site_label
_atom_site_type_symbol
_atom_site_fract_x
_atom_site_fract_y
_atom_site_fract_z
_atom_site_occupancy
Cs1 Cs 0.1549 0.1549 0.1549 1
Ce1 Ce 0.0000 0.1530 0.5000 1
I1 I 0.0000 0.0000 0.0000 1
I2 I 0.0000 0.0000 0.3404 1
I3 I 0.0505 0.2829 0.6793 1
```